Starting from the GGA-PBE geometry in Alexandria, the X-ray powder pattern of Cs2In7Bi was simulated for Cu Kα.
Lines closer than 0.1° are merged.

Crystal structure
```
data_Cs2In7Bi
_chemical_formula_sum 'Cs2 In7 Bi1'
_cell_length_a 5.243
_cell_length_b 5.243
_cell_length_c 12.673
_cell_angle_alpha 90.00
_cell_angle_beta 90.00
_cell_angle_gamma 90.00
_symmetry_space_group_name_H-M 'P -4 m 2'
_symmetry_Int_Tables_number 115
loop_
_symmetry_equiv_pos_as_xyz
'x,y,z'
'y,-x,-z'
'-x,-y,z'
'-y,x,-z'
'-x,y,z'
'-y,-x,-z'
'x,-y,z'
'y,x,-z'
loop_
_atom_site_label
_atom_site_type_symbol
_atom_site_fract_x
_atom_site_fract_y
_atom_site_fract_z
Cs1 Cs 0.000 0.500 0.250
In1 In 0.000 0.000 0.000
In2 In 0.000 0.000 0.500
In3 In 0.000 0.500 0.627
In4 In 0.000 0.500 0.864
In5 In 0.500 0.500 0.500
Bi1 Bi 0.500 0.500 0.000
```

Most intense lines, 2θ from 10° to 90°, by angle:
(hkl)  2θ (°)  I/Imax
1 0 3  27.11  45
1 1 2  27.88  100
2 0 0  34.21  66
1 1 4  37.34  36
1 0 5  39.49  23
2 1 3  44.18  24
2 2 0  49.15  23
2 1 5  53.22  19
3 1 2  57.45  26
2 0 8  69.31  16


Starting from the GGA-PBE geometry in Alexandria, the X-ray powder pattern of Cs2KInBi2 was simulated for Cu Kα.
Lines closer than 0.1° are merged.

Crystal structure
```
data_Cs2KInBi2
_chemical_formula_sum 'Cs8 K4 In4 Bi8'
_cell_length_a 8.316
_cell_length_b 17.378
_cell_length_c 7.873
_cell_angle_alpha 90.00
_cell_angle_beta 90.00
_cell_angle_gamma 90.00
_symmetry_space_group_name_H-M 'I b a m'
_symmetry_Int_Tables_number 72
_symmetry_space_group_name_Hall '-I 2 2c'
loop_
_atom_site_label
_atom_site_type_symbol
_atom_site_fract_x
_atom_site_fract_y
_atom_site_fract_z
Cs1 Cs 0.238 0.170 0.000
K1 K 0.000 0.500 0.250
In1 In 0.000 0.000 0.250
Bi1 Bi 0.198 0.096 0.500
```

Most intense lines, 2θ from 10° to 90°, by angle:
(hkl)  2θ (°)  I/Imax
0 2 0  10.18  23
1 1 0  11.80  44
2 0 0  21.37  29
0 0 2  22.59  37
1 4 1  25.75  100
2 4 0  29.74  37
0 4 2  30.65  44
2 0 2  31.29  69
1 4 3  41.65  28
1 8 1  44.62  33


Starting from the GGA-PBE geometry in Alexandria, the X-ray powder pattern of Cs2SrInBi2 was simulated for Cu Kα.
Lines closer than 0.1° are merged.

Crystal structure
```
data_Cs2SrInBi2
_chemical_formula_sum 'Cs8 Sr4 In4 Bi8'
_cell_length_a 7.745
_cell_length_b 18.317
_cell_length_c 7.980
_cell_angle_alpha 90.00
_cell_angle_beta 90.00
_cell_angle_gamma 90.00
_symmetry_space_group_name_H-M 'I b a m'
_symmetry_Int_Tables_number 72
_symmetry_space_group_name_Hall '-I 2 2c'
loop_
_atom_site_label
_atom_site_type_symbol
_atom_site_fract_x
_atom_site_fract_y
_atom_site_fract_z
Cs1 Cs 0.232 0.177 0.000
Sr1 Sr 0.000 0.500 0.250
In1 In 0.000 0.000 0.250
Bi1 Bi 0.237 0.100 0.500
```

Most intense lines, 2θ from 10° to 90°, by angle:
(hkl)  2θ (°)  I/Imax
1 2 1  18.68  27
0 0 2  22.28  30
2 0 0  22.97  26
1 4 1  25.20  100
0 4 2  29.70  51
2 4 0  30.23  47
2 0 2  32.21  83
1 4 3  40.93  28
3 4 1  41.73  24
1 8 1  42.71  29


Starting from the GGA-PBE geometry in Alexandria, the X-ray powder pattern of CsTl2InBi2 was simulated for Cu Kα.
Lines closer than 0.1° are merged.

Crystal structure
```
data_CsTl2InBi2
_chemical_formula_sum 'Cs2 Tl4 In2 Bi4'
_cell_length_a 5.554
_cell_length_b 8.657
_cell_length_c 9.539
_cell_angle_alpha 90.00
_cell_angle_beta 90.00
_cell_angle_gamma 90.00
_symmetry_space_group_name_H-M 'P m c 21'
_symmetry_Int_Tables_number 26
loop_
_symmetry_equiv_pos_as_xyz
'x,y,z'
'-x,-y,z+1/2'
'-x,y,z'
'x,-y,z+1/2'
loop_
_atom_site_label
_atom_site_type_symbol
_atom_site_fract_x
_atom_site_fract_y
_atom_site_fract_z
Cs1 Cs 0.000 0.108 0.000
Tl1 Tl 0.000 0.331 0.646
Tl2 Tl 0.500 0.448 0.967
In1 In 0.500 0.179 0.354
Bi1 Bi 0.000 0.365 0.322
Bi2 Bi 0.500 0.152 0.698
```

Most intense lines, 2θ from 10° to 90°, by angle:
(hkl)  2θ (°)  I/Imax
0 1 1  13.81  20
1 1 2  26.70  76
1 2 1  27.76  100
0 1 3  29.94  54
2 0 0  32.23  58
1 3 0  35.04  50
1 2 3  38.70  18
2 1 3  44.57  37
1 4 3  53.83  24
3 1 2  54.18  18


Starting from the GGA-PBE geometry in Alexandria, the X-ray powder pattern of Cs2K2Bi was simulated for Cu Kα.
Lines closer than 0.1° are merged.

Crystal structure
```
data_Cs2K2Bi
_chemical_formula_sum 'Cs4 K4 Bi2'
_cell_length_a 8.560
_cell_length_b 10.813
_cell_length_c 7.007
_cell_angle_alpha 90.00
_cell_angle_beta 90.00
_cell_angle_gamma 90.00
_symmetry_space_group_name_H-M 'P b a m'
_symmetry_Int_Tables_number 55
loop_
_symmetry_equiv_pos_as_xyz
'x,y,z'
'-x,-y,-z'
'-x,-y,z'
'x,y,-z'
'x+1/2,-y+1/2,-z'
'-x+1/2,y+1/2,z'
'-x+1/2,y+1/2,-z'
'x+1/2,-y+1/2,z'
loop_
_atom_site_label
_atom_site_type_symbol
_atom_site_fract_x
_atom_site_fract_y
_atom_site_fract_z
Cs1 Cs 0.213 0.095 0.000
K1 K 0.143 0.321 0.500
Bi1 Bi 0.000 0.000 0.500
```

Most intense lines, 2θ from 10° to 90°, by angle:
(hkl)  2θ (°)  I/Imax
1 1 0  13.19  100
0 2 0  16.40  35
1 2 1  23.23  87
2 0 1  24.37  82
0 0 2  25.42  64
1 1 2  28.74  34
2 2 1  29.51  52
1 3 1  29.76  41
3 1 1  34.96  59
2 4 2  47.47  43


Starting from the GGA-PBE geometry in Alexandria, the X-ray powder pattern of CsKBi2 was simulated for Cu Kα.
Lines closer than 0.1° are merged.

Crystal structure
```
data_CsKBi2
_chemical_formula_sum 'Cs2 K2 Bi4'
_cell_length_a 4.899
_cell_length_b 7.353
_cell_length_c 10.893
_cell_angle_alpha 90.00
_cell_angle_beta 90.00
_cell_angle_gamma 90.00
_symmetry_space_group_name_H-M 'P m c 21'
_symmetry_Int_Tables_number 26
loop_
_symmetry_equiv_pos_as_xyz
'x,y,z'
'-x,-y,z+1/2'
'-x,y,z'
'x,-y,z+1/2'
loop_
_atom_site_label
_atom_site_type_symbol
_atom_site_fract_x
_atom_site_fract_y
_atom_site_fract_z
Cs1 Cs 0.000 0.129 0.000
K1 K 0.500 0.374 0.382
Bi1 Bi 0.000 0.392 0.657
Bi2 Bi 0.500 0.153 0.714
```

Most intense lines, 2θ from 10° to 90°, by angle:
(hkl)  2θ (°)  I/Imax
0 1 1  14.53  73
0 0 2  16.27  32
1 0 2  24.44  26
0 2 1  25.57  17
0 1 3  27.35  100
1 2 1  31.51  79
2 0 0  36.69  23
1 3 2  44.57  28
2 1 3  46.39  17
1 2 5  52.26  15


Starting from the GGA-PBE geometry in Alexandria, the X-ray powder pattern of Cs2K6BiO was simulated for Cu Kα.
Lines closer than 0.1° are merged.

Crystal structure
```
data_Cs2K6BiO
_chemical_formula_sum 'Cs4 K12 Bi2 O2'
_cell_length_a 13.611
_cell_length_b 7.898
_cell_length_c 10.452
_cell_angle_alpha 90.00
_cell_angle_beta 115.09
_cell_angle_gamma 90.00
_symmetry_space_group_name_H-M 'C 1 2/m 1'
_symmetry_Int_Tables_number 12
loop_
_symmetry_equiv_pos_as_xyz
'x,y,z'
'-x,-y,-z'
'-x,y,-z'
'x,-y,z'
'x+1/2,y+1/2,z'
'-x+1/2,-y+1/2,-z'
'-x+1/2,y+1/2,-z'
'x+1/2,-y+1/2,z'
loop_
_atom_site_label
_atom_site_type_symbol
_atom_site_fract_x
_atom_site_fract_y
_atom_site_fract_z
Cs1 Cs 0.196 0.000 0.082
K1 K 0.027 0.244 0.340
K2 K 0.215 0.000 0.653
Bi1 Bi 0.000 0.500 0.000
O1 O 0.000 0.000 0.500
```

Most intense lines, 2θ from 10° to 90°, by angle:
(hkl)  2θ (°)  I/Imax
1 1 1  17.97  23
0 2 0  22.57  70
0 2 1  24.42  100
3 1 -2  24.59  52
1 1 2  25.47  42
2 2 -2  29.07  29
0 2 2  29.42  46
3 1 -3  29.67  23
4 2 1  41.36  22
6 2 -2  46.15  22


Starting from the GGA-PBE geometry in Alexandria, the X-ray powder pattern of CsK2BiO4 was simulated for Cu Kα.
Lines closer than 0.1° are merged.

Crystal structure
```
data_CsK2BiO4
_chemical_formula_sum 'Cs4 K8 Bi4 O16'
_cell_length_a 7.090
_cell_length_b 7.300
_cell_length_c 12.676
_cell_angle_alpha 90.00
_cell_angle_beta 90.00
_cell_angle_gamma 90.00
_symmetry_space_group_name_H-M 'I m m a'
_symmetry_Int_Tables_number 74
_symmetry_space_group_name_Hall '-I 2b 2'
loop_
_atom_site_label
_atom_site_type_symbol
_atom_site_fract_x
_atom_site_fract_y
_atom_site_fract_z
Cs1 Cs 0.000 0.000 0.000
K1 K 0.000 0.000 0.500
K2 K 0.250 0.250 0.250
Bi1 Bi 0.250 0.250 0.750
O1 O 0.000 0.042 0.753
O2 O 0.234 0.250 0.588
```

Most intense lines, 2θ from 10° to 90°, by angle:
(hkl)  2θ (°)  I/Imax
0 1 1  14.00  88
1 0 1  14.31  15
0 0 4  28.19  100
2 0 2  28.86  79
2 2 0  35.29  62
2 2 4  45.75  58
0 4 0  49.91  25
2 0 6  50.29  20
2 4 2  58.74  16
4 0 4  59.80  24


Starting from the GGA-PBE geometry in Alexandria, the X-ray powder pattern of CsKBiO3 was simulated for Cu Kα.
Lines closer than 0.1° are merged.

Crystal structure
```
data_CsKBiO3
_chemical_formula_sum 'Cs4 K4 Bi4 O12'
_cell_length_a 6.648
_cell_length_b 13.054
_cell_length_c 6.411
_cell_angle_alpha 90.00
_cell_angle_beta 97.34
_cell_angle_gamma 90.00
_symmetry_space_group_name_H-M 'C 1 2/c 1'
_symmetry_Int_Tables_number 15
loop_
_symmetry_equiv_pos_as_xyz
'x,y,z'
'-x,-y,-z'
'-x,y,-z+1/2'
'x,-y,z+1/2'
'x+1/2,y+1/2,z'
'-x+1/2,-y+1/2,-z'
'-x+1/2,y+1/2,-z+1/2'
'x+1/2,-y+1/2,z+1/2'
loop_
_atom_site_label
_atom_site_type_symbol
_atom_site_fract_x
_atom_site_fract_y
_atom_site_fract_z
Cs1 Cs 0.000 0.250 0.250
K1 K 0.000 0.080 0.750
Bi1 Bi 0.000 0.444 0.750
O1 O 0.000 0.283 0.750
O2 O 0.205 0.474 0.496
```

Most intense lines, 2θ from 10° to 90°, by angle:
(hkl)  2θ (°)  I/Imax
1 1 0  15.05  94
2 0 0  27.05  58
1 3 -1  27.40  100
0 0 2  28.07  51
1 3 1  29.16  89
2 0 -2  36.68  35
2 0 2  41.92  23
3 3 -1  46.88  23
3 3 1  50.22  31
1 3 3  51.41  24


Starting from the GGA-PBE geometry in Alexandria, the X-ray powder pattern of CsKTl4Bi2 was simulated for Cu Kα.
Lines closer than 0.1° are merged.

Crystal structure
```
data_CsKTl4Bi2
_chemical_formula_sum 'Cs1 K1 Tl4 Bi2'
_cell_length_a 4.952
_cell_length_b 4.952
_cell_length_c 13.726
_cell_angle_alpha 90.00
_cell_angle_beta 90.00
_cell_angle_gamma 90.00
_symmetry_space_group_name_H-M 'P 4/m m m'
_symmetry_Int_Tables_number 123
_symmetry_space_group_name_Hall '-P 4 2'
loop_
_atom_site_label
_atom_site_type_symbol
_atom_site_fract_x
_atom_site_fract_y
_atom_site_fract_z
Cs1 Cs 0.000 0.000 0.000
K1 K 0.000 0.000 0.500
Tl1 Tl 0.000 0.500 0.234
Bi1 Bi 0.500 0.500 0.384
```

Most intense lines, 2θ from 10° to 90°, by angle:
(hkl)  2θ (°)  I/Imax
0 0 2  12.90  49
1 0 1  19.05  41
1 1 2  28.62  100
1 0 4  31.72  25
1 1 3  32.19  24
2 0 0  36.28  52
1 1 4  36.67  49
2 2 0  52.24  18
3 1 2  60.65  25
3 1 4  65.52  19


Starting from the GGA-PBE geometry in Alexandria, the X-ray powder pattern of Cs2La2BiO6 was simulated for Cu Kα.
Lines closer than 0.1° are merged.

Crystal structure
```
data_Cs2La2BiO6
_chemical_formula_sum 'Cs4 La4 Bi2 O12'
_cell_length_a 6.396
_cell_length_b 11.009
_cell_length_c 7.360
_cell_angle_alpha 90.00
_cell_angle_beta 105.61
_cell_angle_gamma 90.00
_symmetry_space_group_name_H-M 'C 1 2/m 1'
_symmetry_Int_Tables_number 12
loop_
_symmetry_equiv_pos_as_xyz
'x,y,z'
'-x,-y,-z'
'-x,y,-z'
'x,-y,z'
'x+1/2,y+1/2,z'
'-x+1/2,-y+1/2,-z'
'-x+1/2,y+1/2,-z'
'x+1/2,-y+1/2,z'
loop_
_atom_site_label
_atom_site_type_symbol
_atom_site_fract_x
_atom_site_fract_y
_atom_site_fract_z
Cs1 Cs 0.000 0.165 0.000
La1 La 0.000 0.335 0.500
Bi1 Bi 0.000 0.000 0.500
O1 O 0.208 0.163 0.661
O2 O 0.241 0.500 0.665
```

Most intense lines, 2θ from 10° to 90°, by angle:
(hkl)  2θ (°)  I/Imax
0 0 1  12.49  55
1 1 0  16.49  33
0 0 2  25.13  71
2 0 0  28.99  43
1 3 -1  29.38  82
1 3 1  32.64  100
2 0 -2  33.00  49
1 3 -3  44.65  38
3 3 -1  49.45  32
1 3 3  51.43  30


Starting from the GGA-PBE geometry in Alexandria, the X-ray powder pattern of CsLaBiO4 was simulated for Cu Kα.
Lines closer than 0.1° are merged.

Crystal structure
```
data_CsLaBiO4
_chemical_formula_sum 'Cs4 La4 Bi4 O16'
_cell_length_a 7.309
_cell_length_b 7.778
_cell_length_c 10.380
_cell_angle_alpha 90.00
_cell_angle_beta 90.00
_cell_angle_gamma 90.00
_symmetry_space_group_name_H-M 'I m m a'
_symmetry_Int_Tables_number 74
_symmetry_space_group_name_Hall '-I 2b 2'
loop_
_atom_site_label
_atom_site_type_symbol
_atom_site_fract_x
_atom_site_fract_y
_atom_site_fract_z
Cs1 Cs 0.000 0.250 0.128
La1 La 0.000 0.000 0.500
Bi1 Bi 0.250 0.250 0.750
O1 O 0.000 0.067 0.740
O2 O 0.200 0.250 0.532
```

Most intense lines, 2θ from 10° to 90°, by angle:
(hkl)  2θ (°)  I/Imax
0 1 1  14.23  34
1 1 2  23.94  23
1 2 1  27.36  41
2 1 1  28.29  100
1 0 3  28.54  22
0 2 2  28.68  33
2 0 2  29.90  27
2 2 0  33.65  18
2 3 1  43.67  35
2 2 4  49.01  46


Repeat the eighth record exactly.
Starting from the GGA-PBE geometry in Alexandria, the X-ray powder pattern of CsK2BiO4 was simulated for Cu Kα.
Lines closer than 0.1° are merged.

Crystal structure
```
data_CsK2BiO4
_chemical_formula_sum 'Cs4 K8 Bi4 O16'
_cell_length_a 7.090
_cell_length_b 7.300
_cell_length_c 12.676
_cell_angle_alpha 90.00
_cell_angle_beta 90.00
_cell_angle_gamma 90.00
_symmetry_space_group_name_H-M 'I m m a'
_symmetry_Int_Tables_number 74
_symmetry_space_group_name_Hall '-I 2b 2'
loop_
_atom_site_label
_atom_site_type_symbol
_atom_site_fract_x
_atom_site_fract_y
_atom_site_fract_z
Cs1 Cs 0.000 0.000 0.000
K1 K 0.000 0.000 0.500
K2 K 0.250 0.250 0.250
Bi1 Bi 0.250 0.250 0.750
O1 O 0.000 0.042 0.753
O2 O 0.234 0.250 0.588
```

Most intense lines, 2θ from 10° to 90°, by angle:
(hkl)  2θ (°)  I/Imax
0 1 1  14.00  88
1 0 1  14.31  15
0 0 4  28.19  100
2 0 2  28.86  79
2 2 0  35.29  62
2 2 4  45.75  58
0 4 0  49.91  25
2 0 6  50.29  20
2 4 2  58.74  16
4 0 4  59.80  24


Please write out number 9 again, unchanged.
Starting from the GGA-PBE geometry in Alexandria, the X-ray powder pattern of CsKBiO3 was simulated for Cu Kα.
Lines closer than 0.1° are merged.

Crystal structure
```
data_CsKBiO3
_chemical_formula_sum 'Cs4 K4 Bi4 O12'
_cell_length_a 6.648
_cell_length_b 13.054
_cell_length_c 6.411
_cell_angle_alpha 90.00
_cell_angle_beta 97.34
_cell_angle_gamma 90.00
_symmetry_space_group_name_H-M 'C 1 2/c 1'
_symmetry_Int_Tables_number 15
loop_
_symmetry_equiv_pos_as_xyz
'x,y,z'
'-x,-y,-z'
'-x,y,-z+1/2'
'x,-y,z+1/2'
'x+1/2,y+1/2,z'
'-x+1/2,-y+1/2,-z'
'-x+1/2,y+1/2,-z+1/2'
'x+1/2,-y+1/2,z+1/2'
loop_
_atom_site_label
_atom_site_type_symbol
_atom_site_fract_x
_atom_site_fract_y
_atom_site_fract_z
Cs1 Cs 0.000 0.250 0.250
K1 K 0.000 0.080 0.750
Bi1 Bi 0.000 0.444 0.750
O1 O 0.000 0.283 0.750
O2 O 0.205 0.474 0.496
```

Most intense lines, 2θ from 10° to 90°, by angle:
(hkl)  2θ (°)  I/Imax
1 1 0  15.05  94
2 0 0  27.05  58
1 3 -1  27.40  100
0 0 2  28.07  51
1 3 1  29.16  89
2 0 -2  36.68  35
2 0 2  41.92  23
3 3 -1  46.88  23
3 3 1  50.22  31
1 3 3  51.41  24


What is the formula in the seventh record? Cs2K6BiO